The following is a theoretical powder diffractogram of KNbAu2Se4. It was derived from a structure optimized by DFT (GGA-PBE), using CuKα.
No peak broadening, texture or thermal motion is included.

Structure:
Cell lengths 8.2442, 19.4517, 6.0317 Å; angles 90.00, 90.00, 90.00 degrees
Space group Ama2 (No. 40)
Inequivalent atoms, fractional coordinates:
K  0.2500  0.1838  0.0000 x4
Nb  0.2500  0.3870  0.7177 x4
Au  0.0000  0.0000  0.2425 x4
Au  0.2500  0.3766  0.2163 x4
Se  0.0006  0.1181  0.4476 x8
Se  0.2500  0.2792  0.5074 x4
Se  0.2500  0.4906  0.4687 x4

The 10 most intense peaks (15 to 90 degrees two-theta), by angle:
d [Å]  two_theta  I (rel.)  h k l
5.761  15.38  25  0 1 1
4.416  20.11  36  0 3 1
3.352  26.59  79  2 1 1
3.269  27.28  39  0 5 1
2.719  32.94  27  1 2 2
2.432  36.97  30  0 8 0
2.177  41.49  100  2 4 2
2.061  43.93  27  4 0 0
1.946  46.68  24  0 10 0
1.349  69.69  23  2 12 2



The following is a theoretical powder diffractogram of Ga3AuCl. It was derived from a structure optimized by DFT (GGA-PBE), using CuKα.
No peak broadening, texture or thermal motion is included.

Structure:
Cell lengths 5.5633, 5.5633, 7.7055 Å; angles 90.00, 90.00, 120.00 degrees
Space group P6/mmm (No. 191)
Inequivalent atoms, fractional coordinates:
Ga  0.0000  0.5000  0.1860 x6
Au  0.0000  0.0000  0.1981 x2
Cl  0.3333  0.6667  0.5000 x2

The 10 most intense peaks (15 to 90 degrees two-theta), by angle:
d [Å]  two_theta  I (rel.)  h k l
4.818  18.41  37  1 0 0
3.853  23.09  52  0 0 2
3.009  29.69  35  1 0 2
2.782  32.18  24  1 1 0
2.569  34.93  41  0 0 3
2.409  37.33  100  2 0 0
2.299  39.18  30  2 0 1
2.043  44.35  82  2 0 2
1.757  52.05  59  2 0 3
1.298  72.86  29  2 0 5